For Mn2Sn, DFT lattice parameters and positions (PBE) gives the computed PXRD pattern in this record (Cu Kα).
No peak broadening, texture or thermal motion is included.

Structural model:
```
data_Mn2Sn
_cell_length_a 4.5078
_cell_length_b 4.5078
_cell_length_c 5.4950
_cell_angle_alpha 90.00
_cell_angle_beta 90.00
_cell_angle_gamma 120.00
_symmetry_space_group_name_H-M 'P 63/m m c'
_symmetry_Int_Tables_number 194
_symmetry_space_group_name_Hall '-P 6c 2c'
loop_
_atom_site_label
_atom_site_fract_x
_atom_site_fract_y
_atom_site_fract_z
Mn1 0.0000 0.0000 0.0000
Mn2 0.3333 0.6667 0.2500
Sn1 0.3333 0.6667 0.7500
```

Principal peaks in the range 15° ≤ 2θ ≤ 90°, in order of rising 2θ:
2theta	I (rel.)	index
22.78	8	1 0 0
28.04	29	1 0 1
32.59	16	0 0 2
40.00	100	1 1 0
40.13	76	1 0 2
49.56	7	2 0 1
52.51	25	1 1 2
57.96	25	2 0 2
72.71	41	3 0 0
81.92	8	3 0 2
82.17	24	1 1 4
86.33	11	2 2 0



For Mn3Sn2, DFT lattice parameters and positions (PBE) gives the computed PXRD pattern in this record (Cu Kα).
No peak broadening, texture or thermal motion is included.

Structural model:
```
data_Mn3Sn2
_cell_length_a 7.479
_cell_length_b 5.415
_cell_length_c 8.445
_cell_angle_alpha 90.00
_cell_angle_beta 90.00
_cell_angle_gamma 90.00
_symmetry_space_group_name_H-M 'P n m a'
_symmetry_Int_Tables_number 62
_symmetry_space_group_name_Hall '-P 2ac 2n'
loop_
_atom_site_label
_atom_site_fract_x
_atom_site_fract_y
_atom_site_fract_z
Mn1 0.093 0.250 0.119
Mn2 0.232 0.508 0.872
Sn1 0.058 0.750 0.594
Sn2 0.101 0.750 0.143
```

Principal peaks in the range 15° ≤ 2θ ≤ 90°, in order of rising 2θ:
2theta	I (rel.)	index
29.02	41	2 1 0
29.36	89	1 1 2
33.09	25	0 2 0
41.16	51	2 2 0
41.42	95	1 2 2
42.09	100	3 0 2
42.83	45	0 0 4
54.55	19	3 2 2
60.13	17	4 2 0
60.92	26	2 2 4
69.41	23	0 4 0
84.64	26	3 4 2



For MnSn3, DFT lattice parameters and positions (PBE) gives the computed PXRD pattern in this record (Cu Kα).
No peak broadening, texture or thermal motion is included.

Structural model:
```
data_MnSn3
_cell_length_a 6.4393
_cell_length_b 6.4393
_cell_length_c 5.4642
_cell_angle_alpha 90.00
_cell_angle_beta 90.00
_cell_angle_gamma 120.00
_symmetry_space_group_name_H-M 'P 63/m m c'
_symmetry_Int_Tables_number 194
_symmetry_space_group_name_Hall '-P 6c 2c'
loop_
_atom_site_label
_atom_site_fract_x
_atom_site_fract_y
_atom_site_fract_z
Mn1 0.3333 0.6667 0.2500
Sn1 0.1710 0.3419 0.7500
```

Principal peaks in the range 15° ≤ 2θ ≤ 90°, in order of rising 2θ:
2theta	I (rel.)	index
22.78	9	1 0 1
32.10	23	2 0 0
32.78	29	0 0 2
36.17	100	2 0 1
46.54	16	2 0 2
57.23	18	2 2 0
60.74	23	2 0 3
67.54	22	2 2 2
69.60	15	4 0 1
76.75	4	4 0 2
77.87	4	2 0 4
88.27	9	4 0 3



For MnSn2, DFT lattice parameters and positions (PBE) gives the computed PXRD pattern in this record (Cu Kα).
No peak broadening, texture or thermal motion is included.

Structural model:
```
data_MnSn2
_cell_length_a 6.622
_cell_length_b 6.622
_cell_length_c 5.423
_cell_angle_alpha 90.00
_cell_angle_beta 90.00
_cell_angle_gamma 90.00
_symmetry_space_group_name_H-M 'I 4/m c m'
_symmetry_Int_Tables_number 140
_symmetry_space_group_name_Hall '-I 4 2c'
loop_
_atom_site_label
_atom_site_fract_x
_atom_site_fract_y
_atom_site_fract_z
Mn1 0.000 0.000 0.250
Sn1 0.164 0.336 0.000
```

Principal peaks in the range 15° ≤ 2θ ≤ 90°, in order of rising 2θ:
2theta	I (rel.)	index
33.04	14	0 0 2
34.51	100	2 1 1
38.39	23	1 1 2
43.16	49	3 1 0
59.19	6	3 3 0
59.96	21	2 1 3
60.08	18	4 1 1
66.13	8	4 0 2
69.49	18	3 3 2
79.90	9	4 1 3
80.00	11	5 2 1
85.29	7	3 1 4